1.
For LiNi6O6F, a cell relaxed with GGA+U gives the theoretical powder X-ray diffraction pattern in this record (Cu Kα (weighted mean of Kα1 and Kα2)).
Neutral-atom scattering factors, no anomalous dispersion.

Largest 8 diffraction maxima, sorted by position, 2θ from 15° to 90°:
- 2.434 Å, 2θ = 36.93°, I = 93
- 2.119 Å, 2θ = 42.67°, I = 51
- 2.103 Å, 2θ = 43.01°, I = 100
- 1.493 Å, 2θ = 62.19°, I = 58
- 1.487 Å, 2θ = 62.46°, I = 29
- 1.276 Å, 2θ = 74.34°, I = 12
- 1.269 Å, 2θ = 74.82°, I = 24
- 1.217 Å, 2θ = 78.60°, I = 27

Crystal structure
```
14
Lattice="-1.4869 1.4869 14.8334 1.4869 -1.4869 14.8334 1.4869 1.4869 -14.8334" Properties=species:S:1:pos:R:3 pbc="T T T"
Li 0.0000 0.0000 0.0000
Ni 0.0000 0.0000 4.2261
Ni 0.0000 0.0000 8.4761
Ni 0.0000 0.0000 12.6865
Ni 0.0000 0.0000 16.9804
Ni 0.0000 0.0000 21.1907
Ni 0.0000 0.0000 25.4407
O 0.0000 0.0000 2.1020
O 0.0000 0.0000 6.3547
O 0.0000 0.0000 10.5982
O 0.0000 0.0000 19.0686
O 0.0000 0.0000 23.3122
O 0.0000 0.0000 27.5648
F 0.0000 0.0000 14.8334
```



2.
For TaMnAgO4, a cell relaxed with GGA+U gives the theoretical powder X-ray diffraction pattern in this record (Cu Kα (weighted mean of Kα1 and Kα2)).
Neutral-atom scattering factors, no anomalous dispersion.

Largest 8 diffraction maxima, sorted by position, 2θ from 15° to 90°:
- 5.553 Å, 2θ = 15.96°, I = 44
- 4.417 Å, 2θ = 20.10°, I = 47
- 4.118 Å, 2θ = 21.58°, I = 99
- 3.513 Å, 2θ = 25.35°, I = 49
- 3.492 Å, 2θ = 25.51°, I = 75
- 3.064 Å, 2θ = 29.14°, I = 100
- 2.827 Å, 2θ = 31.65°, I = 96
- 2.762 Å, 2θ = 32.42°, I = 77

Crystal structure
```
14
Lattice="6.1881 0.0000 0.0000 0.0000 6.1282 0.0000 -3.0532 0.0000 6.3725" Properties=species:S:1:pos:R:3 pbc="T T T"
Ta -0.5882 1.5321 2.2997
Ta 3.7231 4.5962 4.0728
Mn 0.7604 4.5962 3.4065
Mn 2.3745 1.5321 2.9660
Ag -0.0772 1.5321 5.9164
Ag 3.2121 4.5962 0.4561
O -1.0843 1.5321 4.0645
O -0.7415 4.5962 4.9239
O 0.6406 0.1272 2.1256
O 0.6406 2.9369 2.1256
O 2.4944 3.1913 4.2468
O 2.4944 6.0010 4.2468
O 3.8764 1.5321 1.4485
O 4.2192 4.5962 2.3080
```